Record 1
Starting from a structure optimized by DFT (PBE), the X-ray powder pattern of Ce3GaNi was calculated for Cu Kα, 1.54184 Å.
Lines closer than 0.1° are merged.

abc: 8.506 5.901 12.079
angles: 90.00 132.42 90.00
Space group P2_1/c (No. 14)
One atom of each set of equivalent atoms:
Ce 0.053 0.224 0.026 x4
Ce 0.116 0.700 0.841 x4
Ce 0.439 0.053 0.280 x4
Ga 0.365 0.182 0.976 x4
Ni 0.287 0.557 0.269 x4

Most intense lines, 10° ≤ 2θ ≤ 90°, in order of rising 2θ:
2θ 25.0, I 26
2θ 28.0, I 29
2θ 31.5, I 34
2θ 32.1, I 30
2θ 33.6, I 100
2θ 35.1, I 68
2θ 36.5, I 40
2θ 40.0, I 28
2θ 42.9, I 25
2θ 49.2, I 20


Record 2
Starting from a structure optimized by DFT (PBE), the X-ray powder pattern of Tc3SnN was calculated for Cu Kα, 1.54184 Å.
Lines closer than 0.1° are merged.

abc: 13.846 8.631 5.082
angles: 90.00 98.00 90.00
Space group C2/c (No. 15)
One atom of each set of equivalent atoms:
Tc 0.170 0.082 0.146 x8
Tc 0.174 0.246 0.630 x8
Tc 0.179 0.415 0.131 x8
Sn 0.000 0.095 0.750 x4
Sn 0.000 0.282 0.250 x4
N 0.106 0.418 0.772 x8

Most intense lines, 10° ≤ 2θ ≤ 90°, in order of rising 2θ:
2θ 36.1, I 64
2θ 37.0, I 30
2θ 39.4, I 78
2θ 39.8, I 63
2θ 39.9, I 86
2θ 41.5, I 60
2θ 42.4, I 100
2θ 47.5, I 25
2θ 63.8, I 42
2θ 77.0, I 27